Structure and computed PXRD pattern of LuMnAlTc (DFT lattice parameters and positions (PBE); Cu Kα (weighted mean of Kα1 and Kα2)).

Largest 10 diffraction maxima, by angle, 2θ = 10–80°:
two_theta	I_rel
24.04	45
27.82	2
39.76	100
46.99	23
49.22	1
57.48	17
63.20	10
65.04	1
72.16	33
77.31	7

Structural model:
abc: 4.535 4.535 4.535
angles: 60.00 60.00 60.00
Element x y z (fractional)
Lu1 0.000 0.000 0.000
Mn1 0.750 0.750 0.750
Al1 0.500 0.500 0.500
Tc1 0.250 0.250 0.250